Entry 1:
Diffraction record for Pr2Sn4Hg. The X-ray diffraction stick pattern is simulated, not measured: it uses the PBE geometry in Alexandria and Cu Kα, 1.54184 Å.

The 8 most intense peaks (10° ≤ 2θ ≤ 90°), most intense first:
33.3 deg, d = 2.694 Å, intensity 100, hkl 1 1 2
39.2 deg, d = 2.298 Å, intensity 36, hkl 2 0 0
67.3 deg, d = 1.392 Å, intensity 27, hkl 3 1 2
55.3 deg, d = 1.662 Å, intensity 17, hkl 2 0 4
21.4 deg, d = 4.148 Å, intensity 15, hkl 1 0 1
37.4 deg, d = 2.406 Å, intensity 13, hkl 0 0 4
56.6 deg, d = 1.625 Å, intensity 13, hkl 2 2 0
26.8 deg, d = 3.324 Å, intensity 10, hkl 1 0 2

Atomic structure:
a = 4.597 Å, b = 4.597 Å, c = 9.623 Å
α = 90.00°, β = 90.00°, γ = 90.00°
Space group P-4m2 (No. 115)
Inequivalent atoms, fractional coordinates:
Pr 0.000 0.500 0.233
Sn 0.000 0.000 0.500
Sn 0.000 0.500 0.802
Sn 0.500 0.500 0.500
Hg 0.500 0.500 0.000



Entry 2:
Diffraction record for Pr2SnHg5. The X-ray diffraction stick pattern is simulated, not measured: it uses the PBE geometry in Alexandria and Cu Kα, 1.54184 Å.

The 8 most intense peaks (10° ≤ 2θ ≤ 90°), most intense first:
32.8 deg, d = 2.732 Å, intensity 100, hkl 0 4 1
32.9 deg, d = 2.723 Å, intensity 95, hkl 2 0 1
37.6 deg, d = 2.391 Å, intensity 66, hkl 2 4 0
55.3 deg, d = 1.660 Å, intensity 44, hkl 2 4 2
39.0 deg, d = 2.307 Å, intensity 32, hkl 0 0 2
64.8 deg, d = 1.439 Å, intensity 27, hkl 2 8 1
66.8 deg, d = 1.400 Å, intensity 26, hkl 0 4 3
65.0 deg, d = 1.435 Å, intensity 23, hkl 4 4 1

Atomic structure:
a = 6.744 Å, b = 13.562 Å, c = 4.615 Å
α = 90.00°, β = 90.00°, γ = 90.00°
Space group Pbam (No. 55)
Inequivalent atoms, fractional coordinates:
Pr 0.232 0.121 0.000
Sn 0.000 0.000 0.500
Hg 0.000 0.500 0.500
Hg 0.025 0.751 0.500
Hg 0.233 0.371 0.000



Entry 3:
Diffraction record for Pr4SnHg. The X-ray diffraction stick pattern is simulated, not measured: it uses the PBE geometry in Alexandria and Cu Kα, 1.54184 Å.

The 8 most intense peaks (10° ≤ 2θ ≤ 90°), most intense first:
33.7 deg, d = 2.663 Å, intensity 100, hkl 0 2 0
20.4 deg, d = 4.346 Å, intensity 36, hkl 1 0 1
60.3 deg, d = 1.535 Å, intensity 30, hkl 3 1 2
33.8 deg, d = 2.654 Å, intensity 20, hkl 2 0 0
60.1 deg, d = 1.539 Å, intensity 15, hkl 2 0 4
48.4 deg, d = 1.879 Å, intensity 15, hkl 2 2 0
39.8 deg, d = 2.267 Å, intensity 14, hkl 1 2 1
80.8 deg, d = 1.189 Å, intensity 10, hkl 2 4 0

Atomic structure:
a = 5.309 Å, b = 5.320 Å, c = 7.551 Å
α = 90.00°, β = 90.00°, γ = 90.00°
Space group Pmmm (No. 47)
Inequivalent atoms, fractional coordinates:
Pr 0.000 0.000 0.242
Pr 0.500 0.500 0.243
Sn 0.500 0.000 0.500
Hg 0.000 0.500 0.000



Entry 4:
Diffraction record for Pr5Sn5Hg2. The X-ray diffraction stick pattern is simulated, not measured: it uses the PBE geometry in Alexandria and Cu Kα, 1.54184 Å.

The 8 most intense peaks (10° ≤ 2θ ≤ 90°), most intense first:
29.4 deg, d = 3.038 Å, intensity 100, hkl 3 1 0
34.2 deg, d = 2.626 Å, intensity 52, hkl 3 1 -4
39.4 deg, d = 2.287 Å, intensity 31, hkl 0 2 0
33.1 deg, d = 2.710 Å, intensity 24, hkl 0 0 4
27.8 deg, d = 3.214 Å, intensity 15, hkl 2 0 -4
65.4 deg, d = 1.427 Å, intensity 14, hkl 3 3 0
52.4 deg, d = 1.748 Å, intensity 13, hkl 0 2 4
27.0 deg, d = 3.297 Å, intensity 13, hkl 3 1 -1

Atomic structure:
a = 14.573 Å, b = 4.573 Å, c = 12.955 Å
α = 90.00°, β = 123.22°, γ = 90.00°
Space group C2/m (No. 12)
Inequivalent atoms, fractional coordinates:
Pr 0.000 0.000 0.000
Pr 0.139 0.500 0.788
Pr 0.162 0.500 0.513
Sn 0.000 0.000 0.500
Sn 0.058 0.000 0.289
Sn 0.178 0.500 0.050
Hg 0.194 0.500 0.280



Entry 5:
Diffraction record for Pr2SnHg4. The X-ray diffraction stick pattern is simulated, not measured: it uses the PBE geometry in Alexandria and Cu Kα, 1.54184 Å.

The 8 most intense peaks (10° ≤ 2θ ≤ 90°), most intense first:
33.3 deg, d = 2.691 Å, intensity 100, hkl 2 2 0
39.8 deg, d = 2.266 Å, intensity 31, hkl 0 4 0
36.3 deg, d = 2.478 Å, intensity 20, hkl 0 0 2
68.1 deg, d = 1.377 Å, intensity 19, hkl 2 6 0
54.9 deg, d = 1.673 Å, intensity 18, hkl 4 0 0
63.3 deg, d = 1.468 Å, intensity 16, hkl 2 2 2
69.9 deg, d = 1.345 Å, intensity 12, hkl 4 4 0
17.9 deg, d = 4.956 Å, intensity 11, hkl 0 0 1

Atomic structure:
a = 9.055 Å, b = 9.070 Å, c = 6.707 Å
α = 90.00°, β = 132.36°, γ = 90.00°
Space group C2/m (No. 12)
Inequivalent atoms, fractional coordinates:
Pr 0.250 0.250 0.000
Sn 0.000 0.000 0.000
Hg 0.000 0.000 0.500
Hg 0.000 0.500 0.500
Hg 0.250 0.250 0.500



Entry 6:
Diffraction record for Pr3Sn4Hg4. The X-ray diffraction stick pattern is simulated, not measured: it uses the PBE geometry in Alexandria and Cu Kα, 1.54184 Å.

The 8 most intense peaks (10° ≤ 2θ ≤ 90°), most intense first:
30.2 deg, d = 2.960 Å, intensity 100, hkl 1 1 4
38.9 deg, d = 2.314 Å, intensity 39, hkl 0 1 11
29.8 deg, d = 2.999 Å, intensity 39, hkl 1 0 7
37.0 deg, d = 2.430 Å, intensity 32, hkl 0 2 0
58.2 deg, d = 1.586 Å, intensity 25, hkl 2 1 11
41.4 deg, d = 2.179 Å, intensity 24, hkl 2 0 0
48.2 deg, d = 1.888 Å, intensity 21, hkl 1 2 7
56.8 deg, d = 1.622 Å, intensity 19, hkl 2 2 0

Atomic structure:
a = 4.357 Å, b = 4.859 Å, c = 28.939 Å
α = 90.00°, β = 90.00°, γ = 90.00°
Space group Immm (No. 71)
Inequivalent atoms, fractional coordinates:
Pr 0.000 0.000 0.000
Pr 0.000 0.500 0.143
Sn 0.000 0.000 0.451
Sn 0.000 0.500 0.312
Hg 0.000 0.000 0.257
Hg 0.000 0.500 0.407



Entry 7:
Diffraction record for SrPr2Hg7. The X-ray diffraction stick pattern is simulated, not measured: it uses the PBE geometry in Alexandria and Cu Kα, 1.54184 Å.

The 8 most intense peaks (10° ≤ 2θ ≤ 90°), most intense first:
34.4 deg, d = 2.610 Å, intensity 100, hkl 1 1 0
35.3 deg, d = 2.545 Å, intensity 58, hkl 0 1 4
29.4 deg, d = 3.040 Å, intensity 50, hkl 0 1 3
62.1 deg, d = 1.494 Å, intensity 23, hkl 1 2 4
50.1 deg, d = 1.822 Å, intensity 22, hkl 2 0 4
61.5 deg, d = 1.507 Å, intensity 19, hkl 3 0 0
45.8 deg, d = 1.980 Å, intensity 15, hkl 2 0 3
58.5 deg, d = 1.577 Å, intensity 15, hkl 1 2 3

Atomic structure:
a = 5.2198 Å, b = 5.2198 Å, c = 12.3189 Å
α = 90.00°, β = 90.00°, γ = 120.00°
Space group P3m1 (No. 156)
Inequivalent atoms, fractional coordinates:
Sr 0.0000 0.0000 0.0000
Pr 0.3333 0.6667 0.6538
Pr 0.6667 0.3333 0.4329
Hg 0.0000 0.0000 0.2969
Hg 0.0000 0.0000 0.5612
Hg 0.3333 0.6667 0.1415
Hg 0.3333 0.6667 0.3849
Hg 0.3333 0.6667 0.8971
Hg 0.6667 0.3333 0.1580
Hg 0.6667 0.3333 0.7839



Entry 8:
Diffraction record for SrPr2Hg6. The X-ray diffraction stick pattern is simulated, not measured: it uses the PBE geometry in Alexandria and Cu Kα, 1.54184 Å.

The 8 most intense peaks (10° ≤ 2θ ≤ 90°), most intense first:
35.2 deg, d = 2.549 Å, intensity 100, hkl 3 0 0
32.1 deg, d = 2.787 Å, intensity 97, hkl 1 1 1
63.3 deg, d = 1.468 Å, intensity 37, hkl 3 0 2
43.5 deg, d = 2.079 Å, intensity 31, hkl 3 0 1
48.4 deg, d = 1.881 Å, intensity 31, hkl 2 2 1
61.2 deg, d = 1.513 Å, intensity 31, hkl 4 1 1
24.8 deg, d = 3.593 Å, intensity 22, hkl 0 0 1
63.2 deg, d = 1.472 Å, intensity 19, hkl 3 3 0

Atomic structure:
a = 8.8297 Å, b = 8.8297 Å, c = 3.5926 Å
α = 90.00°, β = 90.00°, γ = 120.00°
Space group P6/mmm (No. 191)
Inequivalent atoms, fractional coordinates:
Sr 0.0000 0.0000 0.0000
Pr 0.3333 0.6667 0.0000
Hg 0.0000 0.3343 0.5000



Entry 9:
Diffraction record for Sr2PrHg10. The X-ray diffraction stick pattern is simulated, not measured: it uses the PBE geometry in Alexandria and Cu Kα, 1.54184 Å.

The 8 most intense peaks (10° ≤ 2θ ≤ 90°), most intense first:
33.0 deg, d = 2.713 Å, intensity 100, hkl 0 2 3
31.4 deg, d = 2.852 Å, intensity 87, hkl 1 4 -1
33.2 deg, d = 2.695 Å, intensity 57, hkl 1 3 2
29.6 deg, d = 3.021 Å, intensity 54, hkl 2 1 -1
35.3 deg, d = 2.540 Å, intensity 39, hkl 1 4 -2
30.8 deg, d = 2.904 Å, intensity 36, hkl 0 1 3
36.7 deg, d = 2.449 Å, intensity 34, hkl 1 5 0
29.4 deg, d = 3.041 Å, intensity 28, hkl 2 1 0

Atomic structure:
a = 6.322 Å, b = 13.311 Å, c = 9.034 Å
α = 90.00°, β = 98.85°, γ = 90.00°
Space group P2_1/c (No. 14)
Inequivalent atoms, fractional coordinates:
Sr 0.092 0.070 0.294
Pr 0.500 0.000 0.000
Hg 0.107 0.626 0.570
Hg 0.110 0.675 0.900
Hg 0.327 0.227 0.974
Hg 0.400 0.666 0.224
Hg 0.402 0.077 0.652



Entry 10:
Diffraction record for Tb6Pr2Hg. The X-ray diffraction stick pattern is simulated, not measured: it uses the PBE geometry in Alexandria and Cu Kα, 1.54184 Å.

The 8 most intense peaks (10° ≤ 2θ ≤ 90°), most intense first:
31.7 deg, d = 2.823 Å, intensity 100, hkl 3 0 1
31.9 deg, d = 2.806 Å, intensity 50, hkl 1 3 1
32.3 deg, d = 2.771 Å, intensity 47, hkl 0 0 2
30.5 deg, d = 2.928 Å, intensity 21, hkl 0 3 1
56.7 deg, d = 1.623 Å, intensity 18, hkl 1 6 1
45.9 deg, d = 1.978 Å, intensity 17, hkl 2 3 2
57.2 deg, d = 1.610 Å, intensity 14, hkl 3 0 3
35.7 deg, d = 2.516 Å, intensity 12, hkl 2 3 1

Atomic structure:
a = 9.839 Å, b = 10.344 Å, c = 5.543 Å
α = 90.00°, β = 90.00°, γ = 90.00°
Space group Pnnm (No. 58)
Inequivalent atoms, fractional coordinates:
Tb 0.017 0.184 0.000
Tb 0.137 0.603 0.500
Tb 0.184 0.925 0.500
Pr 0.190 0.250 0.500
Hg 0.000 0.500 0.000



Entry 11:
Diffraction record for TbPr6Hg. The X-ray diffraction stick pattern is simulated, not measured: it uses the PBE geometry in Alexandria and Cu Kα, 1.54184 Å.

The 8 most intense peaks (10° ≤ 2θ ≤ 90°), most intense first:
28.8 deg, d = 3.099 Å, intensity 100, hkl 1 -2 1
34.6 deg, d = 2.595 Å, intensity 89, hkl 1 1 -3
21.1 deg, d = 4.218 Å, intensity 67, hkl 0 1 1
31.8 deg, d = 2.817 Å, intensity 54, hkl 2 0 -2
28.9 deg, d = 3.086 Å, intensity 51, hkl -2 1 2
34.7 deg, d = 2.585 Å, intensity 42, hkl -1 2 2
16.9 deg, d = 5.249 Å, intensity 27, hkl 1 0 0
47.0 deg, d = 1.931 Å, intensity 27, hkl 3 0 -2

Atomic structure:
a = 6.672 Å, b = 6.674 Å, c = 9.066 Å
α = 90.30°, β = 111.38°, γ = 119.73°
Space group P-1 (No. 2)
Inequivalent atoms, fractional coordinates:
Tb 0.000 0.000 0.000
Pr 0.153 0.468 0.217
Pr 0.245 0.313 0.782
Pr 0.465 0.929 0.784
Hg 0.000 0.500 0.500



Entry 12:
Diffraction record for Tb3PrHg. The X-ray diffraction stick pattern is simulated, not measured: it uses the PBE geometry in Alexandria and Cu Kα, 1.54184 Å.

The 8 most intense peaks (10° ≤ 2θ ≤ 90°), most intense first:
32.8 deg, d = 2.728 Å, intensity 100, hkl 5 1 -1
32.0 deg, d = 2.796 Å, intensity 32, hkl 0 0 2
30.0 deg, d = 2.983 Å, intensity 17, hkl 10 0 0
57.5 deg, d = 1.602 Å, intensity 12, hkl 5 1 -3
60.4 deg, d = 1.533 Å, intensity 11, hkl 0 2 2
49.7 deg, d = 1.834 Å, intensity 10, hkl 0 2 0
28.6 deg, d = 3.125 Å, intensity 9, hkl 5 1 0
36.1 deg, d = 2.486 Å, intensity 9, hkl 12 0 0

Atomic structure:
a = 29.831 Å, b = 3.668 Å, c = 5.592 Å
α = 90.00°, β = 90.31°, γ = 90.00°
Space group C2/m (No. 12)
Inequivalent atoms, fractional coordinates:
Tb 0.048 0.000 0.236
Tb 0.126 0.000 0.745
Tb 0.157 0.500 0.248
Pr 0.233 0.500 0.749
Hg 0.041 0.500 0.728



What did the first record say?
Diffraction record for Pr2Sn4Hg. The X-ray diffraction stick pattern is simulated, not measured: it uses the PBE geometry in Alexandria and Cu Kα, 1.54184 Å.

The 8 most intense peaks (10° ≤ 2θ ≤ 90°), most intense first:
33.3 deg, d = 2.694 Å, intensity 100, hkl 1 1 2
39.2 deg, d = 2.298 Å, intensity 36, hkl 2 0 0
67.3 deg, d = 1.392 Å, intensity 27, hkl 3 1 2
55.3 deg, d = 1.662 Å, intensity 17, hkl 2 0 4
21.4 deg, d = 4.148 Å, intensity 15, hkl 1 0 1
37.4 deg, d = 2.406 Å, intensity 13, hkl 0 0 4
56.6 deg, d = 1.625 Å, intensity 13, hkl 2 2 0
26.8 deg, d = 3.324 Å, intensity 10, hkl 1 0 2

Atomic structure:
a = 4.597 Å, b = 4.597 Å, c = 9.623 Å
α = 90.00°, β = 90.00°, γ = 90.00°
Space group P-4m2 (No. 115)
Inequivalent atoms, fractional coordinates:
Pr 0.000 0.500 0.233
Sn 0.000 0.000 0.500
Sn 0.000 0.500 0.802
Sn 0.500 0.500 0.500
Hg 0.500 0.500 0.000